Record 1
Diffraction record for Cr3FeIr. The XRD peak list is simulated, not measured: it uses a DFT-relaxed cell (GGA-PBE, Alexandria) and Cu Kα X-rays.
Lines closer than 0.1° are merged.

Largest 8 diffraction maxima, most intense first, 15 to 90 degrees two-theta:
30.71 deg, I = 100; 37.85 deg, I = 86; 43.99 deg, I = 82; 63.96 deg, I = 51; 54.60 deg, I = 41; 76.78 deg, I = 31; 88.95 deg, I = 22; 72.61 deg, I = 18

Crystal structure
```
data_Cr3FeIr
_chemical_formula_sum 'Cr3 Fe1 Ir1'
_space_group_name_H-M_alt 'P 1'
_space_group_IT_number 1
_cell_length_a 4.117
_cell_length_b 4.117
_cell_length_c 4.117
_cell_angle_alpha 90.00
_cell_angle_beta 90.00
_cell_angle_gamma 90.00
loop_
_space_group_symop_operation_xyz
'x,y,z'
loop_
_atom_site_label
_atom_site_type_symbol
_atom_site_fract_x
_atom_site_fract_y
_atom_site_fract_z
Cr1 Cr 0.000 0.000 0.500
Cr2 Cr 0.000 0.500 0.000
Cr3 Cr 0.500 0.000 0.000
Fe1 Fe 0.000 0.000 0.000
Ir1 Ir 0.500 0.500 0.500
```

---

Record 2
Diffraction record for Cr2FeIr. The XRD peak list is simulated, not measured: it uses a DFT-relaxed cell (GGA-PBE, Alexandria) and Cu Kα X-rays.
Lines closer than 0.1° are merged.

Largest 8 diffraction maxima, most intense first, 15 to 90 degrees two-theta:
42.74 deg, I = 100; 49.78 deg, I = 63; 43.02 deg, I = 49; 43.27 deg, I = 48; 21.13 deg, I = 47; 20.38 deg, I = 36; 50.46 deg, I = 30; 26.74 deg, I = 26

Crystal structure
```
data_Cr2FeIr
_chemical_formula_sum 'Cr2 Fe1 Ir1'
_space_group_name_H-M_alt 'P 1'
_space_group_IT_number 1
_cell_length_a 4.467
_cell_length_b 4.467
_cell_length_c 4.426
_cell_angle_alpha 99.71
_cell_angle_beta 99.71
_cell_angle_gamma 33.95
loop_
_space_group_symop_operation_xyz
'x,y,z'
loop_
_atom_site_label
_atom_site_type_symbol
_atom_site_fract_x
_atom_site_fract_y
_atom_site_fract_z
Cr1 Cr 0.247 0.247 0.233
Cr2 Cr 0.753 0.753 0.767
Fe1 Fe 0.500 0.500 0.000
Ir1 Ir 0.000 0.000 0.500
```

---

Record 3
Diffraction record for LaCr3Fe. The XRD peak list is simulated, not measured: it uses a DFT-relaxed cell (GGA-PBE, Alexandria) and Cu Kα X-rays.
Lines closer than 0.1° are merged.

Largest 8 diffraction maxima, most intense first, 15 to 90 degrees two-theta:
39.96 deg, I = 100; 34.42 deg, I = 92; 27.96 deg, I = 83; 57.79 deg, I = 63; 49.47 deg, I = 35; 69.02 deg, I = 32; 72.57 deg, I = 20; 79.46 deg, I = 17

Crystal structure
```
data_LaCr3Fe
_chemical_formula_sum 'La1 Cr3 Fe1'
_space_group_name_H-M_alt 'P 1'
_space_group_IT_number 1
_cell_length_a 4.513
_cell_length_b 4.513
_cell_length_c 4.513
_cell_angle_alpha 90.00
_cell_angle_beta 90.00
_cell_angle_gamma 90.00
loop_
_space_group_symop_operation_xyz
'x,y,z'
loop_
_atom_site_label
_atom_site_type_symbol
_atom_site_fract_x
_atom_site_fract_y
_atom_site_fract_z
La1 La 0.000 0.000 0.000
Cr1 Cr 0.000 0.500 0.500
Cr2 Cr 0.500 0.000 0.500
Cr3 Cr 0.500 0.500 0.000
Fe1 Fe 0.500 0.500 0.500
```